1.
Calculated powder X-ray diffraction pattern
Compound: NpOs4
Radiation: Cu Ka
Structure: a DFT-relaxed cell (PBE, Alexandria)
Peak positions follow from Bragg's law for the DFT cell and can differ from measured ones.

Principal peaks in the range 10° ≤ 2θ ≤ 80°, sorted by position:
2θ = 18.8°, rel. 32
2θ = 26.7°, rel. 28
2θ = 32.9°, rel. 55
2θ = 38.2°, rel. 100
2θ = 42.9°, rel. 16
2θ = 47.2°, rel. 12
2θ = 55.1°, rel. 70
2θ = 58.8°, rel. 8
2θ = 65.7°, rel. 23
2θ = 69.0°, rel. 24

Structure:
```
data_NpOs4
_cell_length_a 4.713
_cell_length_b 4.713
_cell_length_c 4.713
_cell_angle_alpha 90.00
_cell_angle_beta 90.00
_cell_angle_gamma 90.00
_symmetry_space_group_name_H-M 'P m -3 m'
_symmetry_Int_Tables_number 221
_symmetry_space_group_name_Hall '-P 4 2 3'
loop_
_atom_site_label
_atom_site_fract_x
_atom_site_fract_y
_atom_site_fract_z
Np1 0.000 0.000 0.000
Os1 0.000 0.000 0.500
Os2 0.500 0.500 0.500
```

2.
Calculated powder X-ray diffraction pattern
Compound: Cs3Tl
Radiation: Cu Ka
Structure: a DFT-relaxed cell (PBE, Alexandria)
Peak positions follow from Bragg's law for the DFT cell and can differ from measured ones.

Principal peaks in the range 10° ≤ 2θ ≤ 80°, sorted by position:
2θ = 23.3°, rel. 100
2θ = 27.0°, rel. 52
2θ = 38.6°, rel. 40
2θ = 45.6°, rel. 50
2θ = 47.7°, rel. 15
2θ = 55.7°, rel. 7
2θ = 61.2°, rel. 21
2θ = 63.0°, rel. 19
2θ = 69.8°, rel. 14
2θ = 74.8°, rel. 16

Structure:
```
data_Cs3Tl
_cell_length_a 6.599
_cell_length_b 6.599
_cell_length_c 6.599
_cell_angle_alpha 90.00
_cell_angle_beta 90.00
_cell_angle_gamma 90.00
_symmetry_space_group_name_H-M 'P m -3 m'
_symmetry_Int_Tables_number 221
_symmetry_space_group_name_Hall '-P 4 2 3'
loop_
_atom_site_label
_atom_site_fract_x
_atom_site_fract_y
_atom_site_fract_z
Cs1 0.000 0.000 0.500
Tl1 0.500 0.500 0.500
```

3.
Calculated powder X-ray diffraction pattern
Compound: Sc4Zn3Pd2
Radiation: Cu Ka
Structure: a DFT-relaxed cell (PBE, Alexandria)
Peak positions follow from Bragg's law for the DFT cell and can differ from measured ones.

Principal peaks in the range 10° ≤ 2θ ≤ 80°, sorted by position:
2θ = 24.5°, rel. 32
2θ = 29.3°, rel. 11
2θ = 37.2°, rel. 88
2θ = 39.4°, rel. 100
2θ = 45.9°, rel. 20
2θ = 49.9°, rel. 15
2θ = 55.4°, rel. 27
2θ = 70.1°, rel. 25
2θ = 71.5°, rel. 16
2θ = 74.9°, rel. 14

Structure:
```
data_Sc4Zn3Pd2
_cell_length_a 4.5704
_cell_length_b 4.5704
_cell_length_c 9.1401
_cell_angle_alpha 90.00
_cell_angle_beta 90.00
_cell_angle_gamma 120.00
_symmetry_space_group_name_H-M 'P -3 m 1'
_symmetry_Int_Tables_number 164
_symmetry_space_group_name_Hall '-P 3 2"'
loop_
_atom_site_label
_atom_site_fract_x
_atom_site_fract_y
_atom_site_fract_z
Sc1 0.0000 0.0000 0.1678
Sc2 0.3333 0.6667 0.6166
Zn1 0.0000 0.0000 0.5000
Zn2 0.3333 0.6667 0.0099
Pd1 0.3333 0.6667 0.3153
```